Structure and calculated powder X-ray diffraction pattern of Ta3Mo5 (DFT lattice parameters and positions (PBE); Cu Kα, 1.54184 Å).
Lines closer than 0.1° are merged.

Atomic structure:
Lattice parameters (Å, degrees): 5.3083 4.5356 5.6063 90.00 100.43 90.00
Atoms (fractional coordinates):
Ta: 0.0000 0.0000 0.0000
Ta: 0.0062 0.0000 0.4996
Ta: 0.2582 0.5000 0.8684
Mo: 0.2574 0.5000 0.3695
Mo: 0.5035 0.0000 0.2467
Mo: 0.5078 0.0000 0.7466
Mo: 0.7501 0.5000 0.6235
Mo: 0.7581 0.5000 0.1269

Peak list (10 most intense, 5 to 70 degrees two-theta, in order of rising 2θ)
(hkl), 2theta, I/Imax
0 0 1, 16.07, 2
1 0 0, 16.98, 7
1 1 0, 26.02, 7
0 1 2, 38.20, 3
1 1 -2, 39.46, 68
1 0 2, 39.64, 34
2 1 0, 39.81, 100
2 0 -2, 43.19, 2
3 0 -2, 57.26, 11
1 2 2, 57.39, 23